[1]
Structure and simulated XRD peak list of SiPS2 (a DFT-relaxed cell (GGA-PBE, Alexandria); Cu Kα (λ = 1.5418 Å)).

Most intense lines, 2θ from 10° to 80°, by angle:
2θ/deg	intensity
18.80	66
20.32	100
27.82	50
31.29	74
32.47	82
38.08	46

Structural model:
Cell lengths 9.443, 7.167, 5.514 Å; angles 90.00, 90.00, 90.00 degrees
Fractional positions:
Si 0.055 0.144 0.000
Si 0.445 0.644 0.500
Si 0.555 0.356 0.000
Si 0.945 0.856 0.500
P 0.048 0.565 0.437
P 0.452 0.065 0.937
P 0.548 0.935 0.437
P 0.952 0.435 0.937
S 0.033 0.118 0.389
S 0.236 0.728 0.387
S 0.264 0.228 0.887
S 0.467 0.618 0.889
S 0.533 0.382 0.389
S 0.736 0.772 0.387
S 0.764 0.272 0.887
S 0.967 0.882 0.889

=====

[2]
Structure and simulated XRD peak list of SmPS4 (a DFT-relaxed cell (GGA-PBE, Alexandria); Cu Kα (λ = 1.5418 Å)).

Most intense lines, 2θ from 10° to 80°, by angle:
2θ/deg	intensity
16.19	100
24.60	63
29.59	51
36.69	35
37.78	44
41.35	53

Structural model:
Cell lengths 12.367, 12.367, 12.367 Å; angles 127.43, 127.43, 77.54 degrees
Fractional positions:
Sm 0.125 0.375 0.750
Sm 0.125 0.875 0.250
Sm 0.375 0.125 0.250
Sm 0.375 0.625 0.750
Sm 0.625 0.375 0.250
Sm 0.625 0.875 0.750
Sm 0.875 0.125 0.750
Sm 0.875 0.625 0.250
P 0.212 0.250 0.462
P 0.250 0.288 0.038
P 0.250 0.788 0.538
P 0.288 0.750 0.038
P 0.712 0.250 0.962
P 0.750 0.212 0.462
P 0.750 0.712 0.962
P 0.788 0.750 0.538
S 0.089 0.884 0.477
S 0.093 0.388 0.977
S 0.096 0.664 0.937
S 0.112 0.407 0.523
S 0.116 0.093 0.204
S 0.159 0.096 0.933
S 0.164 0.596 0.437
S 0.226 0.159 0.563
S 0.274 0.836 0.933
S 0.336 0.774 0.433
S 0.341 0.274 0.937
S 0.384 0.589 0.977
S 0.388 0.911 0.296
S 0.404 0.341 0.567
S 0.407 0.384 0.296
S 0.411 0.888 0.796
S 0.589 0.112 0.204
S 0.593 0.616 0.704
S 0.596 0.659 0.433
S 0.612 0.089 0.704
S 0.616 0.411 0.023
S 0.659 0.726 0.063
S 0.664 0.226 0.567
S 0.726 0.164 0.067
S 0.774 0.841 0.437
S 0.836 0.404 0.563
S 0.841 0.904 0.067
S 0.884 0.907 0.796
S 0.888 0.593 0.477
S 0.904 0.336 0.063
S 0.907 0.612 0.023
S 0.911 0.116 0.523

=====

[3]
Structure and simulated XRD peak list of SnP2S6 (a DFT-relaxed cell (GGA-PBE, Alexandria); Cu Kα (λ = 1.5418 Å)).

Most intense lines, 2θ from 10° to 80°, by angle:
2θ/deg	intensity
10.22	68
19.79	76
23.20	85
23.44	100
30.73	85
37.42	75

Structural model:
Cell lengths 8.785, 8.785, 5.986 Å; angles 99.71, 99.71, 89.71 degrees
Fractional positions:
Sn 0.141 0.859 0.750
Sn 0.859 0.141 0.250
P 0.212 0.368 0.759
P 0.368 0.212 0.259
P 0.632 0.788 0.741
P 0.788 0.632 0.241
S 0.046 0.202 0.707
S 0.156 0.574 0.913
S 0.202 0.046 0.207
S 0.291 0.418 0.461
S 0.418 0.291 0.961
S 0.426 0.844 0.587
S 0.574 0.156 0.413
S 0.582 0.709 0.039
S 0.709 0.582 0.539
S 0.798 0.954 0.793
S 0.844 0.426 0.087
S 0.954 0.798 0.293

=====

[4]
Structure and simulated XRD peak list of SnPS3 (a DFT-relaxed cell (GGA-PBE, Alexandria); Cu Kα (λ = 1.5418 Å)).

Most intense lines, 2θ from 10° to 80°, by angle:
2θ/deg	intensity
12.42	100
25.94	32
26.77	30
29.61	83
36.94	35
37.07	30

Structural model:
Cell lengths 8.098, 8.098, 8.098 Å; angles 48.57, 48.57, 48.57 degrees
Fractional positions:
Sn 0.184 0.184 0.184
Sn 0.816 0.816 0.816
P 0.448 0.448 0.448
P 0.552 0.552 0.552
S 0.165 0.354 0.743
S 0.257 0.835 0.646
S 0.354 0.743 0.165
S 0.646 0.257 0.835
S 0.743 0.165 0.354
S 0.835 0.646 0.257

=====

[5]
Structure and simulated XRD peak list of Sn2PS (a DFT-relaxed cell (GGA-PBE, Alexandria); Cu Kα (λ = 1.5418 Å)).

Most intense lines, 2θ from 10° to 80°, by angle:
2θ/deg	intensity
23.84	29
26.88	52
31.09	24
33.38	100
46.93	41
48.91	28

Structural model:
Cell lengths 3.872, 3.872, 22.394 Å; angles 90.00, 90.00, 120.00 degrees
Fractional positions:
Sn 0.000 0.000 0.000
Sn 0.000 0.000 0.184
Sn 0.333 0.667 0.667
Sn 0.333 0.667 0.851
Sn 0.667 0.333 0.333
Sn 0.667 0.333 0.517
P 0.000 0.000 0.599
P 0.333 0.667 0.266
P 0.667 0.333 0.933
S 0.000 0.000 0.784
S 0.333 0.667 0.451
S 0.667 0.333 0.118

=====

[6]
Structure and simulated XRD peak list of TlSnPS4 (a DFT-relaxed cell (GGA-PBE, Alexandria); Cu Kα (λ = 1.5418 Å)).

Most intense lines, 2θ from 10° to 80°, by angle:
2θ/deg	intensity
19.57	100
24.97	85
26.28	47
29.72	79
32.58	55
34.01	58

Structural model:
Cell lengths 12.201, 8.926, 6.781 Å; angles 90.00, 90.00, 90.00 degrees
Fractional positions:
Tl 0.109 0.132 0.000
Tl 0.391 0.632 0.500
Tl 0.609 0.368 0.000
Tl 0.891 0.868 0.500
Sn 0.130 0.615 0.050
Sn 0.370 0.115 0.550
Sn 0.630 0.885 0.050
Sn 0.870 0.385 0.550
P 0.155 0.369 0.480
P 0.345 0.869 0.980
P 0.655 0.131 0.480
P 0.845 0.631 0.980
S 0.043 0.196 0.496
S 0.070 0.569 0.455
S 0.243 0.844 0.744
S 0.248 0.867 0.229
S 0.252 0.367 0.729
S 0.257 0.344 0.244
S 0.430 0.069 0.955
S 0.457 0.696 0.996
S 0.543 0.304 0.496
S 0.570 0.931 0.455
S 0.743 0.656 0.744
S 0.748 0.633 0.229
S 0.752 0.133 0.729
S 0.757 0.156 0.244
S 0.930 0.431 0.955
S 0.957 0.804 0.996

=====

[7]
Structure and simulated XRD peak list of SrP3S9 (a DFT-relaxed cell (GGA-PBE, Alexandria); Cu Kα (λ = 1.5418 Å)).

Most intense lines, 2θ from 10° to 80°, by angle:
2θ/deg	intensity
12.82	46
14.05	68
18.41	70
21.09	100
28.13	76
35.28	88

Structural model:
Cell lengths 8.658, 8.658, 9.638 Å; angles 90.00, 90.00, 105.82 degrees
Fractional positions:
Sr 0.132 0.132 0.000
Sr 0.868 0.868 0.500
P 0.233 0.233 0.500
P 0.334 0.655 0.579
P 0.345 0.666 0.921
P 0.655 0.334 0.421
P 0.666 0.345 0.079
P 0.767 0.767 0.000
S 0.095 0.157 0.667
S 0.129 0.702 0.649
S 0.157 0.095 0.333
S 0.174 0.508 0.021
S 0.243 0.467 0.428
S 0.298 0.871 0.851
S 0.439 0.561 0.750
S 0.467 0.243 0.572
S 0.492 0.826 0.479
S 0.508 0.174 0.979
S 0.533 0.757 0.072
S 0.561 0.439 0.250
S 0.702 0.129 0.351
S 0.757 0.533 0.928
S 0.826 0.492 0.521
S 0.843 0.905 0.833
S 0.871 0.298 0.149
S 0.905 0.843 0.167

=====

[8]
Structure and simulated XRD peak list of SrThP2S8 (a DFT-relaxed cell (GGA-PBE, Alexandria); Cu Kα (λ = 1.5418 Å)).

Most intense lines, 2θ from 10° to 80°, by angle:
2θ/deg	intensity
11.03	55
15.63	100
24.13	64
28.88	52
36.70	49
40.11	52

Structural model:
Cell lengths 11.343, 11.343, 9.709 Å; angles 90.00, 90.00, 90.00 degrees
Fractional positions:
Sr 0.000 0.500 0.250
Sr 0.000 0.500 0.750
Sr 0.500 0.000 0.250
Sr 0.500 0.000 0.750
Th 0.000 0.000 0.250
Th 0.000 0.000 0.750
Th 0.500 0.500 0.250
Th 0.500 0.500 0.750
P 0.034 0.240 0.000
P 0.240 0.966 0.500
P 0.260 0.466 0.500
P 0.466 0.740 0.000
P 0.534 0.260 0.000
P 0.740 0.534 0.500
P 0.760 0.034 0.500
P 0.966 0.760 0.000
S 0.067 0.767 0.175
S 0.067 0.767 0.825
S 0.084 0.868 0.500
S 0.112 0.368 0.500
S 0.132 0.084 0.000
S 0.132 0.388 0.000
S 0.233 0.067 0.325
S 0.233 0.067 0.675
S 0.267 0.567 0.325
S 0.267 0.567 0.675
S 0.368 0.584 0.000
S 0.368 0.888 0.000
S 0.388 0.868 0.500
S 0.416 0.368 0.500
S 0.433 0.267 0.175
S 0.433 0.267 0.825
S 0.567 0.733 0.175
S 0.567 0.733 0.825
S 0.584 0.632 0.500
S 0.612 0.132 0.500
S 0.632 0.112 0.000
S 0.632 0.416 0.000
S 0.733 0.433 0.325
S 0.733 0.433 0.675
S 0.767 0.933 0.325
S 0.767 0.933 0.675
S 0.868 0.612 0.000
S 0.868 0.916 0.000
S 0.888 0.632 0.500
S 0.916 0.132 0.500
S 0.933 0.233 0.175
S 0.933 0.233 0.825

=====

[9]
Structure and simulated XRD peak list of SrTlP2S8 (a DFT-relaxed cell (GGA-PBE, Alexandria); Cu Kα (λ = 1.5418 Å)).

Most intense lines, 2θ from 10° to 80°, by angle:
2θ/deg	intensity
18.21	41
21.63	100
29.52	49
32.00	42
35.99	78
51.26	37

Structural model:
Cell lengths 9.487, 9.487, 9.487 Å; angles 37.20, 37.20, 37.20 degrees
Fractional positions:
Sr 0.000 0.000 0.000
Tl 0.500 0.500 0.500
P 0.253 0.253 0.253
P 0.747 0.747 0.747
S 0.069 0.818 0.425
S 0.182 0.575 0.931
S 0.330 0.330 0.330
S 0.425 0.069 0.818
S 0.575 0.931 0.182
S 0.670 0.670 0.670
S 0.818 0.425 0.069
S 0.931 0.182 0.575

=====

[10]
Structure and simulated XRD peak list of SrZnPS2 (a DFT-relaxed cell (GGA-PBE, Alexandria); Cu Kα (λ = 1.5418 Å)).

Most intense lines, 2θ from 10° to 80°, by angle:
2θ/deg	intensity
25.31	52
26.71	100
32.30	49
36.10	90
45.47	48
55.03	50

Structural model:
Cell lengths 4.976, 4.976, 4.500 Å; angles 90.00, 90.00, 90.00 degrees
Fractional positions:
Sr 0.000 0.000 0.000
Zn 0.500 0.500 0.500
P 0.500 0.500 0.000
S 0.000 0.500 0.500
S 0.500 0.000 0.500

=====

Question: Which formula does entry 9 have?
Answer: SrTlP2S8